# PaTl2CdTe4
Calculated X-ray powder pattern, λ = 1.5418 Å (Cu Kα). Input: DFT lattice parameters and positions (GGA-PBE).

Crystal structure
a = 7.7738 Å, b = 4.3899 Å, c = 8.6029 Å
α = 90.00°, β = 108.12°, γ = 90.00°
Fractional positions:
Pa1 0.0000 0.0000 0.0000
Tl1 0.0000 0.5000 0.5000
Tl2 0.5000 0.0000 0.5000
Cd1 0.5000 0.5000 0.0000
Te1 0.2285 0.5000 0.2204
Te2 0.2636 0.0000 0.7964
Te3 0.7364 0.0000 0.2036
Te4 0.7715 0.5000 0.7796

Largest 10 diffraction maxima, by angle, 5° ≤ 2θ ≤ 70°:
| index | 2θ/deg | Rel. int. |
| --- | --- | --- |
| 2 0 -2 | 27.0 | 53 |
| 1 1 1 | 27.6 | 100 |
| 1 1 -3 | 37.5 | 59 |
| 3 1 -1 | 40.4 | 38 |
| 0 2 0 | 41.1 | 18 |
| 0 0 4 | 44.3 | 10 |
| 4 0 0 | 49.3 | 10 |
| 2 2 -2 | 49.9 | 20 |
| 2 2 2 | 56.9 | 11 |
| 5 1 -3 | 65.3 | 9 |